# 1
For SrCa2I6, a DFT-relaxed cell (GGA-PBE, the Materials Project) gives the theoretical PXRD pattern in this record (Cu Ka).

Most intense lines, 15° ≤ 2θ ≤ 90°, by angle:
2θ/deg  I_rel  index
16.57  19  1 1 0
23.52  23  2 0 0
24.94  100  1 1 3
26.35  36  2 1 0
32.39  30  2 1 3
33.51  21  2 2 0
37.51  16  0 0 6
40.42  38  3 0 3
42.22  17  3 1 3
51.20  19  3 3 0

abc: 7.564 7.564 14.386
angles: 90.00 90.00 90.00
Space group P4_2/mnm (No. 136)
One atom of each set of equivalent atoms:
Sr  0.000  0.000  0.000 (multiplicity 2)
Ca  0.000  0.000  0.333 (multiplicity 4)
I  0.191  0.191  0.500 (multiplicity 4)
I  0.201  0.201  0.172 (multiplicity 8)

# 2
For SrCaI4, a DFT-relaxed cell (GGA-PBE, the Materials Project) gives the theoretical PXRD pattern in this record (Cu Ka).

Most intense lines, 15° ≤ 2θ ≤ 90°, by angle:
2θ/deg  I_rel  index
24.75  21  2 0 0
25.23  100  1 4 1
25.62  56  1 0 2
33.31  42  2 4 1
33.61  17  2 0 2
38.23  16  0 8 0
39.03  35  0 4 3
43.87  22  3 4 1
46.59  20  1 8 2
65.83  14  4 4 3

abc: 7.195 18.835 7.943
angles: 90.00 90.00 90.00
Space group Pbcn (No. 60)
One atom of each set of equivalent atoms:
Sr  0.000  0.071  0.250 (multiplicity 4)
Ca  0.000  0.318  0.250 (multiplicity 4)
I  0.242  0.441  0.091 (multiplicity 8)
I  0.247  0.302  0.586 (multiplicity 8)

# 3
For SrCaI4, a DFT-relaxed cell (GGA-PBE, the Materials Project) gives the theoretical PXRD pattern in this record (Cu Ka).

Most intense lines, 15° ≤ 2θ ≤ 90°, by angle:
2θ/deg  I_rel  index
23.75  15  2 0 0
24.92  100  1 1 -1
24.96  21  1 1 1
32.49  35  2 0 2
38.33  25  0 1 3
38.45  13  0 2 0
42.41  11  3 0 -2
42.52  19  3 1 1
46.35  14  1 2 2
58.57  11  3 2 -2

abc: 7.494 4.683 8.144
angles: 90.00 90.15 90.00
Space group P2/m (No. 10)
One atom of each set of equivalent atoms:
Sr  0.000  0.000  0.000 (multiplicity 1)
Ca  0.000  0.500  0.500 (multiplicity 1)
I  0.235  0.000  0.346 (multiplicity 2)
I  0.242  0.500  0.820 (multiplicity 2)